Structure and simulated powder XRD pattern of Ac2TbTc2N6 (a DFT-relaxed cell (GGA-PBE, Alexandria); a wavelength of 1.5418 Å).

Unit cell a=7.051 b=7.051 c=7.051 alpha=49.23 beta=49.23 gamma=49.23
Element x y z (fractional)
Ac1 0.212 0.212 0.212
Ac2 0.788 0.788 0.788
Tb1 0.000 0.000 0.000
Tc1 0.400 0.400 0.400
Tc2 0.600 0.600 0.600
N1 0.232 0.743 0.743
N2 0.257 0.257 0.768
N3 0.257 0.768 0.257
N4 0.743 0.232 0.743
N5 0.743 0.743 0.232
N6 0.768 0.257 0.257

Top 10 peaks for 10° ≤ 2θ ≤ 90°, sorted by position:
| d [Å] | Position (°2θ) | I (rel.) |
| --- | --- | --- |
| 3.427 | 26.0 | 11 |
| 2.997 | 29.8 | 100 |
| 2.937 | 30.4 | 98 |
| 2.098 | 43.1 | 41 |
| 1.742 | 52.5 | 18 |
| 1.707 | 53.7 | 40 |
| 1.696 | 54.1 | 20 |
| 1.468 | 63.3 | 15 |
| 1.335 | 70.6 | 15 |
| 1.319 | 71.6 | 17 |